This entry pairs a crystal structure of Ho2InBi with its calculated powder diffractogram. Radiation: a wavelength of 1.5418 Å. Structure: DFT lattice parameters and positions (PBE).
No peak broadening, texture or thermal motion is included.

Cell and atoms:
Lattice parameters (Å, degrees): 5.132 5.132 4.218 90.00 90.00 90.00
Element x y z (fractional)
Ho: 0.000 0.500 0.000
Ho: 0.500 0.000 0.000
In: 0.000 0.000 0.500
Bi: 0.500 0.500 0.500

Peak list (10 most intense, 2θ = 15–90°, in order of rising 2θ)
2θ = 32.5°, rel. 100; 2θ = 35.0°, rel. 41; 2θ = 42.9°, rel. 12; 2θ = 50.3°, rel. 15; 2θ = 56.5°, rel. 21; 2θ = 61.2°, rel. 33; 2θ = 68.2°, rel. 12; 2θ = 72.0°, rel. 10; 2θ = 83.1°, rel. 7; 2θ = 84.4°, rel. 7

***

This entry pairs a crystal structure of Ba2MgTe3 with its calculated powder diffractogram. Radiation: a wavelength of 1.5418 Å. Structure: DFT lattice parameters and positions (PBE).
No peak broadening, texture or thermal motion is included.

Cell and atoms:
Lattice parameters (Å, degrees): 9.938 4.815 19.292 90.00 90.00 90.00
Element x y z (fractional)
Ba: 0.078 0.250 0.214
Ba: 0.242 0.250 0.960
Ba: 0.258 0.750 0.460
Ba: 0.422 0.750 0.714
Ba: 0.578 0.250 0.286
Ba: 0.742 0.250 0.540
Ba: 0.758 0.750 0.040
Ba: 0.922 0.750 0.786
Mg: 0.127 0.250 0.635
Mg: 0.373 0.750 0.135
Mg: 0.627 0.250 0.865
Mg: 0.873 0.750 0.365
Te: 0.009 0.250 0.402
Te: 0.119 0.750 0.073
Te: 0.186 0.250 0.776
Te: 0.314 0.750 0.276
Te: 0.381 0.250 0.573
Te: 0.491 0.750 0.902
Te: 0.509 0.250 0.098
Te: 0.619 0.750 0.427
Te: 0.686 0.250 0.724
Te: 0.814 0.750 0.224
Te: 0.881 0.250 0.927
Te: 0.991 0.750 0.598

Peak list (10 most intense, 2θ = 15–90°, in order of rising 2θ)
2θ = 22.5°, rel. 40; 2θ = 24.8°, rel. 38; 2θ = 25.7°, rel. 39; 2θ = 26.2°, rel. 94; 2θ = 27.4°, rel. 100; 2θ = 27.7°, rel. 98; 2θ = 31.0°, rel. 58; 2θ = 33.2°, rel. 40; 2θ = 37.4°, rel. 68; 2θ = 60.9°, rel. 38

***

This entry pairs a crystal structure of Ni17Ge2 with its calculated powder diffractogram. Radiation: a wavelength of 1.5418 Å. Structure: DFT lattice parameters and positions (PBE).
No peak broadening, texture or thermal motion is included.

Cell and atoms:
Lattice parameters (Å, degrees): 6.187 6.187 6.187 80.67 80.67 80.67
Element x y z (fractional)
Ni: 0.000 0.000 0.500
Ni: 0.000 0.326 0.674
Ni: 0.000 0.500 0.000
Ni: 0.000 0.674 0.326
Ni: 0.097 0.097 0.097
Ni: 0.168 0.662 0.662
Ni: 0.326 0.000 0.674
Ni: 0.326 0.674 0.000
Ni: 0.338 0.338 0.832
Ni: 0.338 0.832 0.338
Ni: 0.500 0.000 0.000
Ni: 0.662 0.168 0.662
Ni: 0.662 0.662 0.168
Ni: 0.674 0.000 0.326
Ni: 0.674 0.326 0.000
Ni: 0.832 0.338 0.338
Ni: 0.903 0.903 0.903
Ge: 0.304 0.304 0.304
Ge: 0.696 0.696 0.696

Peak list (10 most intense, 2θ = 15–90°, in order of rising 2θ)
2θ = 39.0°, rel. 37; 2θ = 44.1°, rel. 33; 2θ = 45.0°, rel. 100; 2θ = 45.3°, rel. 48; 2θ = 49.9°, rel. 29; 2θ = 50.7°, rel. 69; 2θ = 74.8°, rel. 20; 2θ = 81.7°, rel. 14; 2θ = 83.7°, rel. 25; 2θ = 86.0°, rel. 14

***

This entry pairs a crystal structure of Cu2SnSe3 with its calculated powder diffractogram. Radiation: a wavelength of 1.5418 Å. Structure: DFT lattice parameters and positions (PBE).
No peak broadening, texture or thermal motion is included.

Cell and atoms:
Lattice parameters (Å, degrees): 7.061 7.061 13.567 94.77 94.77 119.97
Element x y z (fractional)
Cu: 0.002 0.495 0.250
Cu: 0.081 0.919 0.500
Cu: 0.150 0.316 0.750
Cu: 0.316 0.150 0.250
Cu: 0.397 0.575 0.499
Cu: 0.495 0.002 0.750
Cu: 0.575 0.397 0.999
Cu: 0.919 0.081 0.000
Sn: 0.230 0.741 0.008
Sn: 0.660 0.808 0.257
Sn: 0.741 0.230 0.508
Sn: 0.808 0.660 0.757
Se: 0.035 0.841 0.319
Se: 0.119 0.266 0.569
Se: 0.194 0.677 0.807
Se: 0.266 0.119 0.069
Se: 0.324 0.485 0.319
Se: 0.403 0.907 0.569
Se: 0.485 0.324 0.819
Se: 0.616 0.758 0.057
Se: 0.677 0.194 0.307
Se: 0.758 0.616 0.557
Se: 0.841 0.035 0.819
Se: 0.907 0.403 0.069

Peak list (10 most intense, 2θ = 15–90°, in order of rising 2θ)
2θ = 26.7°, rel. 100; 2θ = 26.8°, rel. 32; 2θ = 44.2°, rel. 33; 2θ = 44.4°, rel. 62; 2θ = 52.4°, rel. 10; 2θ = 52.6°, rel. 23; 2θ = 52.7°, rel. 18; 2θ = 64.7°, rel. 9; 2θ = 71.3°, rel. 7; 2θ = 81.5°, rel. 10